# CsTiHgSe3
Theoretical X-ray powder pattern, Cu Kα (λ = 1.5418 Å). Input: a cell relaxed with PBE.
Neutral-atom scattering factors, no anomalous dispersion.

Cell and atoms:
```
data_CsTiHgSe3
_space_group_name_H-M_alt 'P 1'
_space_group_IT_number 1
_cell_length_a 8.121
_cell_length_b 8.121
_cell_length_c 7.043
_cell_angle_alpha 92.74
_cell_angle_beta 92.74
_cell_angle_gamma 123.89
loop_
_space_group_symop_operation_xyz
'x,y,z'
loop_
_atom_site_label
_atom_site_fract_x
_atom_site_fract_y
_atom_site_fract_z
Cs1 0.236 0.764 0.750
Cs2 0.764 0.236 0.250
Ti1 0.446 0.554 0.250
Ti2 0.554 0.446 0.750
Hg1 0.079 0.921 0.250
Hg2 0.921 0.079 0.750
Se1 0.265 0.295 0.493
Se2 0.282 0.718 0.250
Se3 0.295 0.265 0.993
Se4 0.705 0.735 0.007
Se5 0.718 0.282 0.750
Se6 0.735 0.705 0.507
```

Largest 6 diffraction maxima, in order of falling intensity, 2θ = 15–90°:
26.02 deg, rel. 100.0; 24.83 deg, rel. 94.6; 32.97 deg, rel. 84.2; 36.61 deg, rel. 64.6; 45.96 deg, rel. 61.8; 44.80 deg, rel. 57.4